Record 1
Theoretical powder XRD pattern
Compound: Ca2Ag12Sn7
Radiation: CuKα
Structure: a PBE-relaxed structure

The 10 most intense peaks (10 to 90 degrees two-theta), most intense first:
two_theta	d (Å)	intensity
31.60	2.831	100
39.57	2.278	65
41.93	2.154	39
38.34	2.348	38
34.43	2.605	32
44.19	2.049	28
16.35	5.422	27
43.08	2.100	26
46.37	1.958	21
70.15	1.342	20

Crystal structure
```
Ca2Ag12Sn7
1.0
10.8445 0.0000 0.0000
-5.4222 9.3916 0.0000
0.0000 0.0000 4.6947
Ca Ag Sn
2 12 7
direct
0.3333 0.6667 0.2131 Ca
0.6667 0.3333 0.7869 Ca
0.0332 0.4262 0.7815 Ag
0.1176 0.2613 0.1874 Ag
0.1438 0.8824 0.1874 Ag
0.2613 0.1438 0.8126 Ag
0.3930 0.9668 0.7815 Ag
0.4262 0.3930 0.2185 Ag
0.5738 0.6070 0.7815 Ag
0.6070 0.0332 0.2185 Ag
0.7387 0.8562 0.1874 Ag
0.8562 0.1176 0.8126 Ag
0.8824 0.7387 0.8126 Ag
0.9668 0.5738 0.2185 Ag
0.0000 0.0000 0.5000 Sn
0.1306 0.7159 0.7034 Sn
0.2841 0.4147 0.7034 Sn
0.4147 0.1306 0.2966 Sn
0.5853 0.8694 0.7034 Sn
0.7159 0.5853 0.2966 Sn
0.8694 0.2841 0.2966 Sn
```


Record 2
Theoretical powder XRD pattern
Compound: Na6MnSe4
Radiation: CuKα
Structure: a PBE-relaxed structure

The 10 most intense peaks (10 to 90 degrees two-theta), most intense first:
two_theta	d (Å)	intensity
38.25	2.353	100
25.05	3.555	88
33.02	2.713	72
43.45	2.083	53
21.81	4.076	48
10.85	8.152	41
24.49	3.635	37
45.94	1.975	35
31.54	2.837	33
16.34	5.425	30

Crystal structure
```
Na6MnSe4
1.0
9.4129 0.0000 0.0000
-4.7064 8.1518 0.0000
0.0000 0.0000 7.2694
Na Mn Se
12 2 8
direct
0.0621 0.5310 0.0000 Na
0.1480 0.2959 0.6690 Na
0.1480 0.8520 0.6690 Na
0.2959 0.1480 0.1690 Na
0.4690 0.5310 0.0000 Na
0.4690 0.9379 0.0000 Na
0.5310 0.0621 0.5000 Na
0.5310 0.4690 0.5000 Na
0.7041 0.8520 0.6690 Na
0.8520 0.1480 0.1690 Na
0.8520 0.7041 0.1690 Na
0.9379 0.4690 0.5000 Na
0.3333 0.6667 0.3810 Mn
0.6667 0.3333 0.8810 Mn
0.1858 0.3716 0.2726 Se
0.1858 0.8142 0.2726 Se
0.3333 0.6667 0.7302 Se
0.3716 0.1858 0.7726 Se
0.6284 0.8142 0.2726 Se
0.6667 0.3333 0.2302 Se
0.8142 0.1858 0.7726 Se
0.8142 0.6284 0.7726 Se
```


Record 3
Theoretical powder XRD pattern
Compound: Li12CdHg6
Radiation: CuKα
Structure: a PBE-relaxed structure

The 10 most intense peaks (10 to 90 degrees two-theta), most intense first:
two_theta	d (Å)	intensity
37.45	2.402	100
28.05	3.181	67
21.84	4.070	58
27.71	3.220	57
39.65	2.273	54
24.89	3.578	48
17.66	5.022	45
17.39	5.099	44
47.60	1.910	34
12.37	7.156	31

Crystal structure
```
Li12CdHg6
1.0
5.0987 2.9438 4.0699
-5.0987 2.9438 4.0699
0.0000 -5.8875 4.0699
Li Cd Hg
12 1 6
direct
0.0283 0.9295 0.3025 Li
0.0705 0.6975 0.9717 Li
0.1249 0.4742 0.3452 Li
0.3025 0.0283 0.9295 Li
0.3452 0.1249 0.4742 Li
0.4742 0.3452 0.1249 Li
0.5258 0.6548 0.8751 Li
0.6548 0.8751 0.5258 Li
0.6975 0.9717 0.0705 Li
0.8751 0.5258 0.6548 Li
0.9295 0.3025 0.0283 Li
0.9717 0.0705 0.6975 Li
0.5000 0.5000 0.5000 Cd
0.2128 0.7863 0.6241 Hg
0.2137 0.3759 0.7872 Hg
0.3759 0.7872 0.2137 Hg
0.6241 0.2128 0.7863 Hg
0.7863 0.6241 0.2128 Hg
0.7872 0.2137 0.3759 Hg
```


Record 4
Theoretical powder XRD pattern
Compound: LiLa2Si
Radiation: CuKα
Structure: a PBE-relaxed structure

The 10 most intense peaks (10 to 90 degrees two-theta), most intense first:
two_theta	d (Å)	intensity
33.76	2.655	100
23.49	3.787	54
20.57	4.317	40
31.98	2.798	38
65.87	1.418	21
34.51	2.599	19
37.92	2.373	19
45.09	2.011	19
55.89	1.645	16
49.22	1.851	15

Crystal structure
```
LiLa2Si
1.0
-2.0333 2.3727 5.1976
2.0333 -2.3727 5.1976
2.0333 2.3727 -5.1976
Li La Si
1 2 1
direct
0.0000 0.0000 0.0000 Li
0.2898 0.7898 0.5000 La
0.5725 0.5725 0.0000 La
0.8418 0.3418 0.5000 Si
```


Record 5
Theoretical powder XRD pattern
Compound: Nd6DyEr4
Radiation: CuKα
Structure: a PBE-relaxed structure

The 10 most intense peaks (10 to 90 degrees two-theta), most intense first:
two_theta	d (Å)	intensity
30.10	2.969	100
34.17	2.624	69
28.54	3.128	57
28.41	3.142	49
29.84	2.994	34
37.40	2.404	31
37.71	2.385	30
56.51	1.629	29
40.28	2.239	26
56.36	1.633	23

Crystal structure
```
Nd6DyEr4
1.0
-3.3733 3.3733 8.3516
3.3733 -3.3733 8.3516
3.3733 3.3733 -8.3516
Nd Dy Er
6 1 4
direct
0.0000 0.5000 0.5000 Nd
0.0135 0.6317 0.0000 Nd
0.3683 0.3683 0.3818 Nd
0.5000 0.0000 0.5000 Nd
0.6317 0.0135 0.0000 Nd
0.9865 0.9865 0.6182 Nd
0.0000 0.0000 0.0000 Dy
0.2040 0.2040 0.6460 Er
0.4421 0.7960 0.0000 Er
0.5579 0.5579 0.3540 Er
0.7960 0.4421 0.0000 Er
```


Record 6
Theoretical powder XRD pattern
Compound: LiAg8Pd4
Radiation: CuKα
Structure: a PBE-relaxed structure

The 10 most intense peaks (10 to 90 degrees two-theta), most intense first:
two_theta	d (Å)	intensity
40.53	2.226	100
73.72	1.285	32
24.49	3.635	27
58.65	1.574	16
28.35	3.148	16
47.92	1.898	13
87.68	1.113	10
64.52	1.444	5
66.40	1.408	5
50.20	1.817	4

Crystal structure
```
LiAg8Pd4
1.0
6.2960 0.0000 0.0000
0.0000 6.2960 0.0000
0.0000 0.0000 6.2960
Li Ag Pd
1 8 4
direct
0.0000 0.0000 0.0000 Li
0.2535 0.2535 0.2535 Ag
0.2535 0.2535 0.7465 Ag
0.2535 0.7465 0.2535 Ag
0.2535 0.7465 0.7465 Ag
0.7465 0.2535 0.2535 Ag
0.7465 0.2535 0.7465 Ag
0.7465 0.7465 0.2535 Ag
0.7465 0.7465 0.7465 Ag
0.0000 0.0000 0.5000 Pd
0.0000 0.5000 0.0000 Pd
0.5000 0.0000 0.0000 Pd
0.5000 0.5000 0.5000 Pd
```


Record 7
Theoretical powder XRD pattern
Compound: KRbIn4Au8
Radiation: CuKα
Structure: a PBE-relaxed structure

The 10 most intense peaks (10 to 90 degrees two-theta), most intense first:
two_theta	d (Å)	intensity
39.11	2.303	100
31.59	2.832	57
13.98	6.333	40
65.15	1.432	33
42.84	2.111	23
40.28	2.239	21
53.26	1.720	15
19.83	4.478	14
24.60	3.619	10
81.92	1.176	9

Crystal structure
```
KRbIn4Au8
1.0
-4.4783 4.4783 4.2227
4.4783 -4.4783 4.2227
4.4783 4.4783 -4.2227
K Rb In Au
1 1 4 8
direct
0.0000 0.0000 0.0000 K
0.5000 0.5000 0.0000 Rb
0.1072 0.8928 0.5000 In
0.3928 0.6072 0.5000 In
0.6072 0.1072 0.2144 In
0.8928 0.3928 0.7856 In
0.0618 0.2576 0.4892 Au
0.2316 0.7424 0.8042 Au
0.2576 0.7684 0.1958 Au
0.4273 0.2316 0.4892 Au
0.5727 0.0618 0.8042 Au
0.7424 0.9382 0.5108 Au
0.7684 0.5727 0.5108 Au
0.9382 0.4273 0.1958 Au
```


Record 8
Theoretical powder XRD pattern
Compound: NaSr3TaO6
Radiation: CuKα
Structure: a PBE-relaxed structure

The 10 most intense peaks (10 to 90 degrees two-theta), most intense first:
two_theta	d (Å)	intensity
31.36	2.853	100
18.36	4.832	73
29.16	3.063	54
43.35	2.087	38
41.61	2.170	30
41.03	2.200	23
50.27	1.815	22
55.82	1.647	20
37.22	2.416	18
54.47	1.685	17

Crystal structure
```
NaSr3TaO6
1.0
4.9410 2.8527 3.9027
-4.9410 2.8527 3.9027
0.0000 -5.7054 3.9027
Na Sr Ta O
2 6 2 12
direct
0.2500 0.2500 0.2500 Na
0.7500 0.7500 0.7500 Na
0.0993 0.7500 0.4007 Sr
0.2500 0.5993 0.9007 Sr
0.4007 0.0993 0.7500 Sr
0.5993 0.9007 0.2500 Sr
0.7500 0.4007 0.0993 Sr
0.9007 0.2500 0.5993 Sr
0.0000 0.0000 0.0000 Ta
0.5000 0.5000 0.5000 Ta
0.0535 0.9280 0.7212 O
0.0720 0.2788 0.9465 O
0.2212 0.4280 0.5535 O
0.2788 0.9465 0.0720 O
0.4280 0.5535 0.2212 O
0.4465 0.7788 0.5720 O
0.5535 0.2212 0.4280 O
0.5720 0.4465 0.7788 O
0.7212 0.0535 0.9280 O
0.7788 0.5720 0.4465 O
0.9280 0.7212 0.0535 O
0.9465 0.0720 0.2788 O
```


Record 9
Theoretical powder XRD pattern
Compound: SmTlZn
Radiation: CuKα
Structure: a PBE-relaxed structure

The 10 most intense peaks (10 to 90 degrees two-theta), most intense first:
two_theta	d (Å)	intensity
32.42	2.761	100
37.40	2.404	83
32.17	2.782	63
38.06	2.364	41
50.67	1.802	35
22.27	3.992	33
63.18	1.472	25
64.06	1.454	20
30.95	2.889	17
68.34	1.373	14

Crystal structure
```
SmTlZn
1.0
-2.3645 4.1880 3.7221
2.3645 -4.1880 3.7221
2.3645 4.1880 -3.7221
Sm Tl Zn
2 2 2
direct
0.0000 0.0000 0.0000 Sm
0.4988 0.4988 0.0000 Sm
0.0439 0.7238 0.3200 Tl
0.4038 0.7238 0.6800 Tl
0.6349 0.2905 0.3444 Zn
0.9460 0.2905 0.6556 Zn
```


Record 10
Theoretical powder XRD pattern
Compound: TaTi4Ga4
Radiation: CuKα
Structure: a PBE-relaxed structure

The 10 most intense peaks (10 to 90 degrees two-theta), most intense first:
two_theta	d (Å)	intensity
35.96	2.497	100
42.53	2.125	68
28.93	3.086	37
32.35	2.768	33
32.53	2.753	33
48.50	1.877	28
17.99	4.929	21
64.33	1.448	19
38.36	2.346	19
36.45	2.465	17

Crystal structure
```
TaTi4Ga4
1.0
5.7927 0.0000 0.0000
0.0000 5.7927 0.0000
0.0000 0.0000 9.3859
Ta Ti Ga
2 8 8
direct
0.2500 0.7500 0.2500 Ta
0.7500 0.2500 0.7500 Ta
0.0250 0.2500 0.1816 Ti
0.2500 0.0250 0.6816 Ti
0.2500 0.4750 0.6816 Ti
0.4750 0.2500 0.1816 Ti
0.5250 0.7500 0.8184 Ti
0.7500 0.5250 0.3184 Ti
0.7500 0.9750 0.3184 Ti
0.9750 0.7500 0.8184 Ti
0.0188 0.2500 0.4771 Ga
0.2500 0.0188 0.9771 Ga
0.2500 0.4812 0.9771 Ga
0.4812 0.2500 0.4771 Ga
0.5188 0.7500 0.5229 Ga
0.7500 0.5188 0.0229 Ga
0.7500 0.9812 0.0229 Ga
0.9812 0.7500 0.5229 Ga
```


Record 11
Theoretical powder XRD pattern
Compound: CdPt6
Radiation: CuKα
Structure: a PBE-relaxed structure

The 10 most intense peaks (10 to 90 degrees two-theta), most intense first:
two_theta	d (Å)	intensity
31.09	2.877	100
48.33	1.883	59
17.80	4.983	55
44.54	2.034	54
25.28	3.523	42
51.90	1.762	39
76.47	1.246	25
84.82	1.143	18
73.63	1.287	17
58.58	1.576	17

Crystal structure
```
CdPt6
1.0
-3.5233 3.5233 3.5233
3.5233 -3.5233 3.5233
3.5233 3.5233 -3.5233
Cd Pt
1 6
direct
0.0000 0.0000 0.0000 Cd
0.2500 0.5000 0.7500 Pt
0.2500 0.7500 0.5000 Pt
0.5000 0.2500 0.7500 Pt
0.5000 0.7500 0.2500 Pt
0.7500 0.2500 0.5000 Pt
0.7500 0.5000 0.2500 Pt
```


Record 12
Theoretical powder XRD pattern
Compound: Mn3GeI8
Radiation: CuKα
Structure: a PBE-relaxed structure

The 10 most intense peaks (10 to 90 degrees two-theta), most intense first:
two_theta	d (Å)	intensity
29.18	3.061	100
43.13	2.097	53
11.78	7.511	52
25.81	3.452	52
29.40	3.038	50
40.64	2.220	36
23.69	3.756	28
25.68	3.469	26
53.07	1.726	18
40.30	2.238	17

Crystal structure
```
Mn3GeI8
1.0
7.2663 -4.1941 0.0000
7.2663 4.1941 0.0000
-4.9275 0.0000 7.5111
Mn Ge I
3 1 8
direct
0.0000 0.0000 0.0000 Mn
0.0000 0.5000 0.0000 Mn
0.5000 0.0000 0.0000 Mn
0.5000 0.5000 0.0000 Ge
0.2329 0.7471 0.2230 I
0.2409 0.2409 0.2185 I
0.2529 0.2529 0.7771 I
0.2529 0.7671 0.7770 I
0.7471 0.2329 0.2230 I
0.7471 0.7471 0.2229 I
0.7591 0.7591 0.7815 I
0.7671 0.2529 0.7770 I
```